No. 1
The following is a theoretical powder diffraction line list of Hf6IrC. It was derived from a structure optimized by DFT (GGA-PBE), using copper Kα.

Structure:
abc: 5.0689 5.7375 5.8357
angles: 97.42 113.06 92.32
Space group P-1 (No. 2)
Unique sites:
1 Hf 0.0572 0.2914 0.1594 [2 per cell]
2 Hf 0.2419 0.8297 0.4858 [2 per cell]
3 Hf 0.3889 0.3658 0.7575 [2 per cell]
4 Ir 0.5000 0.0000 0.0000 [1 per cell]
5 C 0.0000 0.5000 0.5000 [1 per cell]

Peak list (10 most intense, 10° ≤ 2θ ≤ 80°, by angle)
| (hkl) | 2θ (°) | d (Å) | intensity |
| --- | --- | --- | --- |
| 1 -1 1 | 31.98 | 2.799 | 12 |
| 0 1 -2 | 35.04 | 2.561 | 37 |
| 2 0 -1 | 35.47 | 2.531 | 100 |
| 1 1 1 | 36.37 | 2.470 | 54 |
| -1 1 2 | 36.88 | 2.438 | 94 |
| 2 -1 1 | 49.23 | 1.851 | 14 |
| 2 1 -3 | 52.18 | 1.753 | 13 |
| 0 3 1 | 54.09 | 1.695 | 15 |
| 3 1 0 | 63.96 | 1.456 | 11 |
| -3 1 3 | 64.96 | 1.436 | 15 |

=====

No. 2
The following is a theoretical powder diffraction line list of KHfPCO7. It was derived from a structure optimized by DFT (GGA-PBE), using copper Kα.

Structure:
abc: 5.4237 6.6455 9.8175
angles: 90.00 95.94 90.00
Space group P2_1 (No. 4)
Unique sites:
1 K 0.0676 0.0000 0.1206 [2 per cell]
2 Hf 0.2741 0.8768 0.6585 [2 per cell]
3 P 0.2751 0.3747 0.5661 [2 per cell]
4 C 0.4744 0.8681 0.9091 [2 per cell]
5 O 0.0670 0.3717 0.4467 [2 per cell]
6 O 0.2267 0.8708 0.8702 [2 per cell]
7 O 0.2513 0.5623 0.6558 [2 per cell]
8 O 0.2599 0.1867 0.6566 [2 per cell]
9 O 0.3967 0.3542 0.1984 [2 per cell]
10 O 0.4364 0.3792 0.9696 [2 per cell]
11 O 0.4737 0.8774 0.4957 [2 per cell]

Peak list (10 most intense, 10° ≤ 2θ ≤ 80°, by angle)
| (hkl) | 2θ (°) | d (Å) | intensity |
| --- | --- | --- | --- |
| 0 1 1 | 16.13 | 5.494 | 100 |
| 1 0 -1 | 17.94 | 4.943 | 50 |
| 1 0 1 | 19.61 | 4.528 | 63 |
| 1 1 0 | 21.21 | 4.188 | 49 |
| 0 1 2 | 22.60 | 3.935 | 40 |
| 1 0 -2 | 23.27 | 3.822 | 46 |
| 1 0 2 | 25.85 | 3.447 | 38 |
| 0 2 0 | 26.85 | 3.320 | 81 |
| 2 0 -1 | 33.49 | 2.676 | 52 |
| 2 1 1 | 38.01 | 2.367 | 25 |

=====

No. 3
The following is a theoretical powder diffraction line list of LaHf2C. It was derived from a structure optimized by DFT (GGA-PBE), using copper Kα.

Structure:
abc: 3.2750 3.2750 27.5123
angles: 90.00 90.00 120.00
Space group R-3m (No. 166, hexagonal axes)
Unique sites:
1 La 0.0000 0.0000 0.0000 [3 per cell]
2 Hf 0.0000 0.0000 0.1216 [6 per cell]
3 C 0.0000 0.0000 0.5000 [3 per cell]

Peak list (10 most intense, 10° ≤ 2θ ≤ 80°, by angle)
| (hkl) | 2θ (°) | d (Å) | intensity |
| --- | --- | --- | --- |
| 0 0 9 | 29.21 | 3.057 | 50 |
| 1 0 1 | 31.72 | 2.821 | 100 |
| 0 1 2 | 32.23 | 2.778 | 18 |
| 1 0 4 | 34.20 | 2.622 | 23 |
| 1 0 7 | 39.17 | 2.300 | 44 |
| 0 1 8 | 41.26 | 2.188 | 83 |
| 1 1 0 | 56.17 | 1.638 | 34 |
| 1 0 16 | 63.24 | 1.470 | 22 |
| 1 1 9 | 64.56 | 1.443 | 32 |
| 2 0 8 | 72.04 | 1.311 | 17 |